No. 1
Calculated powder diffraction line list
Compound: TaCr2
Radiation: copper Kα
Structure: a PBE-relaxed structure
Peak positions follow from Bragg's law for the DFT cell and can differ from measured ones.

Top 6 peaks for 10 to 90 degrees two-theta, in order of falling intensity:
2θ = 39.76°, I = 100; 2θ = 43.23°, I = 95; 2θ = 36.67°, I = 73; 2θ = 44.13°, I = 43; 2θ = 68.10°, I = 39; 2θ = 73.92°, I = 26

abc: 4.9017 4.9017 8.0441
angles: 90.00 90.00 120.00
Positions (direct):
Ta (0.3333, 0.6667, 0.0609)
Ta (0.3333, 0.6667, 0.4391)
Ta (0.6667, 0.3333, 0.5609)
Ta (0.6667, 0.3333, 0.9391)
Cr (0.0000, 0.0000, 0.0000)
Cr (0.0000, 0.0000, 0.5000)
Cr (0.1697, 0.3394, 0.7500)
Cr (0.1697, 0.8303, 0.7500)
Cr (0.3394, 0.1697, 0.2500)
Cr (0.6606, 0.8303, 0.7500)
Cr (0.8303, 0.1697, 0.2500)
Cr (0.8303, 0.6606, 0.2500)


No. 2
Calculated powder diffraction line list
Compound: TaCr2
Radiation: copper Kα
Structure: a PBE-relaxed structure
Peak positions follow from Bragg's law for the DFT cell and can differ from measured ones.

Top 6 peaks for 10 to 90 degrees two-theta, in order of falling intensity:
2θ = 43.25°, I = 100; 2θ = 36.64°, I = 79; 2θ = 70.54°, I = 30; 2θ = 22.19°, I = 29; 2θ = 65.97°, I = 29; 2θ = 77.90°, I = 21

abc: 4.9055 4.9055 4.9055
angles: 60.00 60.00 60.00
Positions (direct):
Ta (0.1250, 0.1250, 0.1250)
Ta (0.8750, 0.8750, 0.8750)
Cr (0.0000, 0.5000, 0.5000)
Cr (0.5000, 0.0000, 0.5000)
Cr (0.5000, 0.5000, 0.0000)
Cr (0.5000, 0.5000, 0.5000)


No. 3
Calculated powder diffraction line list
Compound: Ta4CrTe4
Radiation: copper Kα
Structure: a PBE-relaxed structure
Peak positions follow from Bragg's law for the DFT cell and can differ from measured ones.

Top 6 peaks for 10 to 90 degrees two-theta, in order of falling intensity:
2θ = 35.12°, I = 100; 2θ = 41.96°, I = 83; 2θ = 37.07°, I = 75; 2θ = 40.87°, I = 68; 2θ = 34.47°, I = 60; 2θ = 32.40°, I = 58

abc: 10.8051 18.7777 4.8508
angles: 90.00 90.00 90.00
Positions (direct):
Ta (0.0659, 0.1198, 0.0000)
Ta (0.1012, 0.8887, 0.5000)
Ta (0.1942, 0.0587, 0.5000)
Ta (0.2092, 0.9625, 0.0000)
Ta (0.2908, 0.4625, 0.0000)
Ta (0.3058, 0.5587, 0.5000)
Ta (0.3988, 0.3887, 0.5000)
Ta (0.4341, 0.6198, 0.0000)
Ta (0.5659, 0.3802, 0.0000)
Ta (0.6012, 0.6113, 0.5000)
Ta (0.6942, 0.4413, 0.5000)
Ta (0.7092, 0.5375, 0.0000)
Ta (0.7908, 0.0375, 0.0000)
Ta (0.8058, 0.9413, 0.5000)
Ta (0.8988, 0.1113, 0.5000)
Ta (0.9341, 0.8802, 0.0000)
Cr (0.0000, 0.0000, 0.2502)
Cr (0.0000, 0.0000, 0.7498)
Cr (0.5000, 0.5000, 0.2502)
Cr (0.5000, 0.5000, 0.7498)
Te (0.1097, 0.2038, 0.5000)
Te (0.1459, 0.4358, 0.5000)
Te (0.1698, 0.5990, 0.0000)
Te (0.1709, 0.8114, 0.0000)
Te (0.3291, 0.3114, 0.0000)
Te (0.3302, 0.0990, 0.0000)
Te (0.3541, 0.9358, 0.5000)
Te (0.3903, 0.7038, 0.5000)
Te (0.6097, 0.2962, 0.5000)
Te (0.6459, 0.0642, 0.5000)
Te (0.6698, 0.9010, 0.0000)
Te (0.6709, 0.6886, 0.0000)
Te (0.8291, 0.1886, 0.0000)
Te (0.8302, 0.4010, 0.0000)
Te (0.8541, 0.5642, 0.5000)
Te (0.8903, 0.7962, 0.5000)


No. 4
Calculated powder diffraction line list
Compound: Cr5Te8
Radiation: copper Kα
Structure: a PBE-relaxed structure
Peak positions follow from Bragg's law for the DFT cell and can differ from measured ones.

Top 6 peaks for 10 to 90 degrees two-theta, in order of falling intensity:
2θ = 29.92°, I = 100; 2θ = 39.90°, I = 31; 2θ = 45.61°, I = 29; 2θ = 55.49°, I = 27; 2θ = 53.04°, I = 18; 2θ = 74.59°, I = 13

abc: 7.9561 7.9561 5.9859
angles: 90.00 90.00 120.00
Positions (direct):
Cr (0.0000, 0.0000, 0.0000)
Cr (0.0000, 0.0000, 0.5000)
Cr (0.0000, 0.5000, 0.0000)
Cr (0.5000, 0.0000, 0.0000)
Cr (0.5000, 0.5000, 0.0000)
Te (0.1673, 0.3347, 0.2490)
Te (0.1673, 0.8327, 0.2490)
Te (0.3333, 0.6667, 0.7562)
Te (0.3347, 0.1673, 0.7510)
Te (0.6653, 0.8327, 0.2490)
Te (0.6667, 0.3333, 0.2438)
Te (0.8327, 0.1673, 0.7510)
Te (0.8327, 0.6653, 0.7510)


No. 5
Calculated powder diffraction line list
Compound: Cr5Te8
Radiation: copper Kα
Structure: a PBE-relaxed structure
Peak positions follow from Bragg's law for the DFT cell and can differ from measured ones.

Top 6 peaks for 10 to 90 degrees two-theta, in order of falling intensity:
2θ = 29.98°, I = 100; 2θ = 29.74°, I = 97; 2θ = 45.90°, I = 68; 2θ = 39.62°, I = 26; 2θ = 29.15°, I = 25; 2θ = 39.29°, I = 22

abc: 7.2950 7.2950 9.1105
angles: 123.69 123.69 65.74
Positions (direct):
Cr (0.0000, 0.0000, 0.0000)
Cr (0.2684, 0.2684, 0.0170)
Cr (0.2724, 0.7276, 0.5000)
Cr (0.7276, 0.2724, 0.5000)
Cr (0.7316, 0.7316, 0.9830)
Te (0.0235, 0.0235, 0.3244)
Te (0.0364, 0.5422, 0.8300)
Te (0.4475, 0.4475, 0.6651)
Te (0.4578, 0.9636, 0.1700)
Te (0.5422, 0.0364, 0.8300)
Te (0.5525, 0.5525, 0.3349)
Te (0.9636, 0.4578, 0.1700)
Te (0.9765, 0.9765, 0.6756)


No. 6
Calculated powder diffraction line list
Compound: Cr5Te6
Radiation: copper Kα
Structure: a PBE-relaxed structure
Peak positions follow from Bragg's law for the DFT cell and can differ from measured ones.

Top 6 peaks for 10 to 90 degrees two-theta, in order of falling intensity:
2θ = 28.92°, I = 100; 2θ = 29.14°, I = 90; 2θ = 44.47°, I = 47; 2θ = 38.27°, I = 32; 2θ = 38.52°, I = 27; 2θ = 44.42°, I = 24

abc: 7.5191 8.1496 9.4217
angles: 89.61 78.24 73.65
Positions (direct):
Cr (0.0000, 0.0000, 0.0000)
Cr (0.0000, 0.5000, 0.0000)
Cr (0.0190, 0.2523, 0.4995)
Cr (0.3199, 0.4052, 0.1754)
Cr (0.3368, 0.6683, 0.6622)
Cr (0.3449, 0.9264, 0.1735)
Cr (0.6551, 0.0736, 0.8265)
Cr (0.6632, 0.3317, 0.3378)
Cr (0.6801, 0.5948, 0.8246)
Cr (0.9810, 0.7477, 0.5005)
Te (0.0435, 0.9842, 0.6908)
Te (0.0640, 0.4861, 0.6932)
Te (0.2764, 0.1780, 0.9706)
Te (0.2858, 0.6807, 0.9752)
Te (0.3748, 0.6512, 0.3585)
Te (0.3946, 0.1511, 0.3658)
Te (0.6054, 0.8489, 0.6342)
Te (0.6252, 0.3488, 0.6415)
Te (0.7142, 0.3193, 0.0248)
Te (0.7236, 0.8220, 0.0294)
Te (0.9360, 0.5139, 0.3068)
Te (0.9565, 0.0158, 0.3092)